Entry 1:
This entry pairs a crystal structure of Sm3Ti3Se2O8 with its computed X-ray powder pattern. Radiation: Cu Kα. Structure: a PBE-relaxed structure.
Kinematic intensities with the Lorentz-polarization factor, no thermal factor.

Principal peaks in the range 2θ = 10–90°, low angle first:
2θ = 27.93°, rel. 100, hkl 2 0 -4; 2θ = 29.16°, rel. 98, hkl 2 1 -1; 2θ = 30.33°, rel. 59, hkl 1 1 -3; 2θ = 31.25°, rel. 75, hkl 0 1 3; 2θ = 32.48°, rel. 94, hkl 2 1 1; 2θ = 35.08°, rel. 70, hkl 1 1 3; 2θ = 35.87°, rel. 59, hkl 3 1 -1; 2θ = 46.45°, rel. 62, hkl 0 2 0

Structural model:
Unit cell a=9.8614 b=3.9099 c=13.5194 alpha=90.00 beta=111.24 gamma=90.00
Positions (direct):
Sm 0.0484 0.2500 0.1605
Sm 0.4088 0.2500 0.5885
Sm 0.4173 0.7500 0.0854
Sm 0.5827 0.2500 0.9146
Sm 0.5912 0.7500 0.4115
Sm 0.9516 0.7500 0.8395
Ti 0.0446 0.7500 0.5885
Ti 0.1897 0.7500 0.3969
Ti 0.3150 0.7500 0.7695
Ti 0.6850 0.2500 0.2305
Ti 0.8103 0.2500 0.6031
Ti 0.9554 0.2500 0.4115
Se 0.1634 0.2500 0.9839
Se 0.3908 0.2500 0.2537
Se 0.6092 0.7500 0.7463
Se 0.8366 0.7500 0.0161
O 0.0023 0.7500 0.4256
O 0.1212 0.7500 0.2538
O 0.1215 0.7500 0.7487
O 0.1773 0.2500 0.4285
O 0.2495 0.7500 0.6084
O 0.3585 0.2500 0.7624
O 0.3900 0.7500 0.4705
O 0.4415 0.7500 0.9164
O 0.5585 0.2500 0.0836
O 0.6100 0.2500 0.5295
O 0.6415 0.7500 0.2376
O 0.7505 0.2500 0.3916
O 0.8227 0.7500 0.5715
O 0.8785 0.2500 0.2513
O 0.8788 0.2500 0.7462
O 0.9977 0.2500 0.5744

---

Entry 2:
This entry pairs a crystal structure of Sm2U2Se3O4 with its computed X-ray powder pattern. Radiation: Cu Kα. Structure: a PBE-relaxed structure.
Kinematic intensities with the Lorentz-polarization factor, no thermal factor.

Principal peaks in the range 2θ = 10–90°, low angle first:
2θ = 26.86°, rel. 57, hkl 1 4 0; 2θ = 28.38°, rel. 100, hkl 1 2 1; 2θ = 34.89°, rel. 22, hkl 2 4 0; 2θ = 36.10°, rel. 48, hkl 2 2 1; 2θ = 42.63°, rel. 37, hkl 0 6 1; 2θ = 45.65°, rel. 23, hkl 0 0 2; 2θ = 50.20°, rel. 22, hkl 1 8 0; 2θ = 63.13°, rel. 21, hkl 3 7 1

Structural model:
Unit cell a=7.0472 b=15.0477 c=3.9748 alpha=90.00 beta=90.00 gamma=90.00
Positions (direct):
Sm 0.2064 0.1531 0.0000
Sm 0.2936 0.6531 0.0000
Sm 0.7064 0.3469 0.0000
Sm 0.7936 0.8469 0.0000
U 0.2073 0.9252 0.5000
U 0.2927 0.4252 0.5000
U 0.7073 0.5748 0.5000
U 0.7927 0.0748 0.5000
Se 0.0000 0.5000 0.0000
Se 0.0045 0.2783 0.5000
Se 0.4955 0.7783 0.5000
Se 0.5000 0.0000 0.0000
Se 0.5045 0.2217 0.5000
Se 0.9955 0.7217 0.5000
O 0.1136 0.8893 0.0000
O 0.1373 0.0670 0.5000
O 0.3627 0.5670 0.5000
O 0.3864 0.3893 0.0000
O 0.6136 0.6107 0.0000
O 0.6373 0.4330 0.5000
O 0.8627 0.9330 0.5000
O 0.8864 0.1107 0.0000

---

Entry 3:
This entry pairs a crystal structure of TmSnSe2O with its computed X-ray powder pattern. Radiation: Cu Kα. Structure: a PBE-relaxed structure.
Kinematic intensities with the Lorentz-polarization factor, no thermal factor.

Principal peaks in the range 2θ = 10–90°, low angle first:
2θ = 22.93°, rel. 22, hkl 0 0 4; 2θ = 28.86°, rel. 70, hkl 1 0 3; 2θ = 32.81°, rel. 100, hkl 1 1 0; 2θ = 37.19°, rel. 61, hkl 1 0 5; 2θ = 40.41°, rel. 28, hkl 1 1 4; 2θ = 47.09°, rel. 37, hkl 2 0 0; 2θ = 56.18°, rel. 21, hkl 2 1 3; 2θ = 61.47°, rel. 26, hkl 2 1 5

Structural model:
Unit cell a=3.8594 b=3.8594 c=15.5171 alpha=90.00 beta=90.00 gamma=90.00
Positions (direct):
Tm 0.2500 0.2500 0.0708
Tm 0.7500 0.7500 0.9292
Sn 0.2500 0.2500 0.6612
Sn 0.7500 0.7500 0.3388
Se 0.2500 0.2500 0.3904
Se 0.2500 0.2500 0.8271
Se 0.7500 0.7500 0.1729
Se 0.7500 0.7500 0.6096
O 0.2500 0.7500 0.0000
O 0.7500 0.2500 0.0000